Record 1
For Sm2Tm2In5, a crystal structure in Alexandria, relaxed with PBE gives the calculated powder diffractogram in this record (Cu Kα (weighted mean of Kα1 and Kα2)).
No peak broadening, texture or thermal motion is included.

```
data_Sm2Tm2In5
_cell_length_a 9.4320
_cell_length_b 9.4320
_cell_length_c 9.4320
_cell_angle_alpha 81.25
_cell_angle_beta 135.63
_cell_angle_gamma 115.93
_symmetry_space_group_name_H-M 'P 1'
_symmetry_Int_Tables_number 1
_symmetry_space_group_name_Hall 'P 1'
loop_
_atom_site_label
_atom_site_type_symbol
_atom_site_fract_x
_atom_site_fract_y
_atom_site_fract_z
Sm1 Sm 0.0277 0.1270 0.1547
Sm2 Sm 0.0277 0.3730 0.4007
Sm3 Sm 0.9723 0.6270 0.5993
Sm4 Sm 0.9723 0.8730 0.8453
Tm1 Tm 0.4361 0.4361 0.0000
Tm2 Tm 0.4361 0.9361 0.5000
Tm3 Tm 0.5564 0.8137 0.2427
Tm4 Tm 0.5710 0.3137 0.7573
In1 In 0.0654 0.4269 0.9406
In2 In 0.0654 0.6248 0.1385
In3 In 0.0931 0.0342 0.5589
In4 In 0.4753 0.5342 0.4411
In5 In 0.4863 0.1248 0.0594
In6 In 0.4863 0.9269 0.8615
In7 In 0.5235 0.2579 0.3562
In8 In 0.5235 0.6672 0.7655
In9 In 0.9017 0.1672 0.6438
In10 In 0.9017 0.7579 0.2345
```

Principal peaks in the range 5° ≤ 2θ ≤ 70°, sorted by position:
2θ 29.32, rel. 97
2θ 30.82, rel. 100
2θ 32.16, rel. 36
2θ 33.32, rel. 24
2θ 33.74, rel. 23
2θ 38.11, rel. 25
2θ 38.36, rel. 39
2θ 39.02, rel. 18
2θ 41.06, rel. 22
2θ 46.81, rel. 22

=====

Record 2
For TmTl2S2, a crystal structure in Alexandria, relaxed with PBE gives the calculated powder diffractogram in this record (Cu Kα (weighted mean of Kα1 and Kα2)).
No peak broadening, texture or thermal motion is included.

```
data_TmTl2S2
_cell_length_a 3.8815
_cell_length_b 3.8815
_cell_length_c 11.0932
_cell_angle_alpha 101.97
_cell_angle_beta 101.97
_cell_angle_gamma 60.14
_symmetry_space_group_name_H-M 'P 1'
_symmetry_Int_Tables_number 1
_symmetry_space_group_name_Hall 'P 1'
loop_
_atom_site_label
_atom_site_type_symbol
_atom_site_fract_x
_atom_site_fract_y
_atom_site_fract_z
Tm1 Tm 0.0000 0.0000 0.0000
Tl1 Tl 0.4715 0.4715 0.6417
Tl2 Tl 0.5285 0.5285 0.3583
S1 S 0.2776 0.2776 0.8604
S2 S 0.7224 0.7224 0.1396
```

Principal peaks in the range 5° ≤ 2θ ≤ 70°, sorted by position:
2θ 24.80, rel. 59
2θ 26.68, rel. 26
2θ 26.96, rel. 41
2θ 27.35, rel. 49
2θ 28.94, rel. 100
2θ 32.36, rel. 56
2θ 33.26, rel. 25
2θ 40.36, rel. 44
2θ 45.81, rel. 32
2θ 47.34, rel. 27

=====

Record 3
For Tb7Se4S4, a crystal structure in Alexandria, relaxed with PBE gives the calculated powder diffractogram in this record (Cu Kα (weighted mean of Kα1 and Kα2)).
No peak broadening, texture or thermal motion is included.

```
data_Tb7Se4S4
_cell_length_a 10.6338
_cell_length_b 10.6338
_cell_length_c 10.6338
_cell_angle_alpha 96.07
_cell_angle_beta 96.07
_cell_angle_gamma 142.05
_symmetry_space_group_name_H-M 'P 1'
_symmetry_Int_Tables_number 1
_symmetry_space_group_name_Hall 'P 1'
loop_
_atom_site_label
_atom_site_type_symbol
_atom_site_fract_x
_atom_site_fract_y
_atom_site_fract_z
Tb1 Tb 0.0000 0.2777 0.2777
Tb2 Tb 0.0000 0.7223 0.7223
Tb3 Tb 0.1192 0.5000 0.6192
Tb4 Tb 0.2484 0.2484 0.0000
Tb5 Tb 0.2777 0.0000 0.2777
Tb6 Tb 0.2943 0.2943 0.5887
Tb7 Tb 0.2943 0.7057 0.0000
Tb8 Tb 0.5000 0.1192 0.6192
Tb9 Tb 0.5000 0.8808 0.3808
Tb10 Tb 0.7057 0.2943 0.0000
Tb11 Tb 0.7057 0.7057 0.4113
Tb12 Tb 0.7223 0.0000 0.7223
Tb13 Tb 0.7516 0.7516 0.0000
Tb14 Tb 0.8808 0.5000 0.3808
Se1 Se 0.1255 0.1255 0.2511
Se2 Se 0.1255 0.8745 0.0000
Se3 Se 0.3258 0.5000 0.8258
Se4 Se 0.5000 0.3258 0.8258
Se5 Se 0.5000 0.6742 0.1742
Se6 Se 0.6742 0.5000 0.1742
Se7 Se 0.8745 0.1255 0.0000
Se8 Se 0.8745 0.8745 0.7489
S1 S 0.0991 0.5991 0.1982
S2 S 0.0991 0.9009 0.5000
S3 S 0.4009 0.5991 0.5000
S4 S 0.4009 0.9009 0.8018
S5 S 0.5991 0.0991 0.1982
S6 S 0.5991 0.4009 0.5000
S7 S 0.9009 0.0991 0.5000
S8 S 0.9009 0.4009 0.8018
```

Principal peaks in the range 5° ≤ 2θ ≤ 70°, sorted by position:
2θ 25.77, rel. 37
2θ 26.01, rel. 19
2θ 26.59, rel. 17
2θ 32.67, rel. 25
2θ 34.08, rel. 100
2θ 37.96, rel. 12
2θ 38.46, rel. 33
2θ 51.00, rel. 32
2θ 52.96, rel. 13
2θ 53.62, rel. 13

=====

Record 4
For Li5URh6, a crystal structure in Alexandria, relaxed with PBE gives the calculated powder diffractogram in this record (Cu Kα (weighted mean of Kα1 and Kα2)).
No peak broadening, texture or thermal motion is included.

```
data_Li5URh6
_cell_length_a 6.6326
_cell_length_b 6.6326
_cell_length_c 6.0646
_cell_angle_alpha 90.00
_cell_angle_beta 90.00
_cell_angle_gamma 141.95
_symmetry_space_group_name_H-M 'P 1'
_symmetry_Int_Tables_number 1
_symmetry_space_group_name_Hall 'P 1'
loop_
_atom_site_label
_atom_site_type_symbol
_atom_site_fract_x
_atom_site_fract_y
_atom_site_fract_z
Li1 Li 0.0000 0.0000 0.0000
Li2 Li 0.3264 0.6736 0.5000
Li3 Li 0.3309 0.6691 0.0000
Li4 Li 0.6691 0.3309 0.0000
Li5 Li 0.6736 0.3264 0.5000
U1 U 0.0000 0.0000 0.5000
Rh1 Rh 0.1638 0.8362 0.2490
Rh2 Rh 0.1638 0.8362 0.7510
Rh3 Rh 0.5000 0.5000 0.2401
Rh4 Rh 0.5000 0.5000 0.7599
Rh5 Rh 0.8362 0.1638 0.2490
Rh6 Rh 0.8362 0.1638 0.7510
```

Principal peaks in the range 5° ≤ 2θ ≤ 70°, sorted by position:
2θ 14.12, rel. 25
2θ 14.61, rel. 18
2θ 20.37, rel. 18
2θ 21.74, rel. 18
2θ 26.29, rel. 25
2θ 29.73, rel. 25
2θ 41.78, rel. 26
2θ 42.34, rel. 100
2θ 43.29, rel. 23
2θ 61.73, rel. 16

=====

Record 5
For NaHg3Sb, a crystal structure in Alexandria, relaxed with PBE gives the calculated powder diffractogram in this record (Cu Kα (weighted mean of Kα1 and Kα2)).
No peak broadening, texture or thermal motion is included.

```
data_NaHg3Sb
_cell_length_a 8.9044
_cell_length_b 7.1522
_cell_length_c 9.9675
_cell_angle_alpha 90.00
_cell_angle_beta 115.71
_cell_angle_gamma 90.00
_symmetry_space_group_name_H-M 'P 1'
_symmetry_Int_Tables_number 1
_symmetry_space_group_name_Hall 'P 1'
loop_
_atom_site_label
_atom_site_type_symbol
_atom_site_fract_x
_atom_site_fract_y
_atom_site_fract_z
Na1 Na 0.2031 0.1929 0.0507
Na2 Na 0.2031 0.3071 0.5507
Na3 Na 0.7969 0.6929 0.4493
Na4 Na 0.7969 0.8071 0.9493
Hg1 Hg 0.0623 0.5513 0.2394
Hg2 Hg 0.0623 0.9487 0.7393
Hg3 Hg 0.3927 0.5882 0.8217
Hg4 Hg 0.3927 0.9118 0.3217
Hg5 Hg 0.4305 0.1469 0.8779
Hg6 Hg 0.4305 0.3531 0.3779
Hg7 Hg 0.5695 0.6469 0.6221
Hg8 Hg 0.5695 0.8531 0.1221
Hg9 Hg 0.6073 0.0882 0.6783
Hg10 Hg 0.6073 0.4118 0.1783
Hg11 Hg 0.9377 0.0513 0.2606
Hg12 Hg 0.9377 0.4487 0.7607
Sb1 Sb 0.1641 0.6930 0.9796
Sb2 Sb 0.1641 0.8070 0.4796
Sb3 Sb 0.8359 0.1930 0.5204
Sb4 Sb 0.8359 0.3070 0.0204
```

Principal peaks in the range 5° ≤ 2θ ≤ 70°, sorted by position:
2θ 17.97, rel. 22
2θ 22.16, rel. 17
2θ 30.60, rel. 48
2θ 30.74, rel. 100
2θ 31.11, rel. 21
2θ 31.99, rel. 25
2θ 35.91, rel. 27
2θ 36.58, rel. 23
2θ 38.14, rel. 45
2θ 52.45, rel. 17

=====

Record 6
For Tb4Pm8Tm3, a crystal structure in Alexandria, relaxed with PBE gives the calculated powder diffractogram in this record (Cu Kα (weighted mean of Kα1 and Kα2)).
No peak broadening, texture or thermal motion is included.

```
data_Tb4Pm8Tm3
_cell_length_a 9.1699
_cell_length_b 9.1699
_cell_length_c 6.8663
_cell_angle_alpha 110.86
_cell_angle_beta 110.86
_cell_angle_gamma 82.91
_symmetry_space_group_name_H-M 'P 1'
_symmetry_Int_Tables_number 1
_symmetry_space_group_name_Hall 'P 1'
loop_
_atom_site_label
_atom_site_type_symbol
_atom_site_fract_x
_atom_site_fract_y
_atom_site_fract_z
Tb1 Tb 0.0000 0.0000 0.0000
Tb2 Tb 0.0000 0.0000 0.5000
Tb3 Tb 0.0000 0.5000 0.0000
Tb4 Tb 0.5000 0.0000 0.0000
Pm1 Pm 0.2454 0.2454 0.2906
Pm2 Pm 0.2475 0.7525 0.5000
Pm3 Pm 0.2966 0.7034 0.0000
Pm4 Pm 0.2980 0.2980 0.8278
Pm5 Pm 0.7020 0.7020 0.1722
Pm6 Pm 0.7034 0.2966 0.0000
Pm7 Pm 0.7525 0.2475 0.5000
Pm8 Pm 0.7546 0.7546 0.7094
Tm1 Tm 0.0000 0.5000 0.5000
Tm2 Tm 0.5000 0.0000 0.5000
Tm3 Tm 0.5000 0.5000 0.5000
```

Principal peaks in the range 5° ≤ 2θ ≤ 70°, sorted by position:
2θ 25.96, rel. 25
2θ 29.42, rel. 82
2θ 29.55, rel. 100
2θ 29.91, rel. 44
2θ 30.30, rel. 22
2θ 33.13, rel. 32
2θ 33.78, rel. 35
2θ 42.19, rel. 62
2θ 53.38, rel. 20
2θ 62.13, rel. 20

=====

Record 7
For Ag5SbSe4Br2, a crystal structure in Alexandria, relaxed with PBE gives the calculated powder diffractogram in this record (Cu Kα (weighted mean of Kα1 and Kα2)).
No peak broadening, texture or thermal motion is included.

```
data_Ag5SbSe4Br2
_cell_length_a 8.0734
_cell_length_b 6.9372
_cell_length_c 6.9372
_cell_angle_alpha 123.69
_cell_angle_beta 90.00
_cell_angle_gamma 90.00
_symmetry_space_group_name_H-M 'P 1'
_symmetry_Int_Tables_number 1
_symmetry_space_group_name_Hall 'P 1'
loop_
_atom_site_label
_atom_site_type_symbol
_atom_site_fract_x
_atom_site_fract_y
_atom_site_fract_z
Ag1 Ag 0.0000 0.0000 0.0000
Ag2 Ag 0.2725 0.2706 0.6582
Ag3 Ag 0.2725 0.6582 0.2706
Ag4 Ag 0.7275 0.2706 0.6582
Ag5 Ag 0.7275 0.6582 0.2706
Sb1 Sb 0.5000 0.0559 0.0559
Se1 Se 0.2409 0.2774 0.2774
Se2 Se 0.5000 0.6518 0.9914
Se3 Se 0.5000 0.9914 0.6518
Se4 Se 0.7591 0.2774 0.2774
Br1 Br 0.0000 0.5509 0.8916
Br2 Br 0.0000 0.8916 0.5509
```

Principal peaks in the range 5° ≤ 2θ ≤ 70°, sorted by position:
2θ 25.74, rel. 100
2θ 26.95, rel. 100
2θ 34.12, rel. 20
2θ 38.34, rel. 91
2θ 44.44, rel. 22
2θ 44.91, rel. 28
2θ 45.51, rel. 56
2θ 46.45, rel. 16
2θ 47.24, rel. 24
2θ 52.48, rel. 27

=====

Record 8
For Rb2Zn3S4, a crystal structure in Alexandria, relaxed with PBE gives the calculated powder diffractogram in this record (Cu Kα (weighted mean of Kα1 and Kα2)).
No peak broadening, texture or thermal motion is included.

```
data_Rb2Zn3S4
_cell_length_a 9.3176
_cell_length_b 9.3176
_cell_length_c 9.3176
_cell_angle_alpha 143.57
_cell_angle_beta 105.80
_cell_angle_gamma 85.60
_symmetry_space_group_name_H-M 'P 1'
_symmetry_Int_Tables_number 1
_symmetry_space_group_name_Hall 'P 1'
loop_
_atom_site_label
_atom_site_type_symbol
_atom_site_fract_x
_atom_site_fract_y
_atom_site_fract_z
Rb1 Rb 0.1218 0.2353 0.3570
Rb2 Rb 0.3782 0.7353 0.1135
Rb3 Rb 0.6218 0.2647 0.8865
Rb4 Rb 0.8782 0.7647 0.6430
Zn1 Zn 0.0255 0.2500 0.7755
Zn2 Zn 0.2500 0.7500 0.5000
Zn3 Zn 0.4745 0.2500 0.2245
Zn4 Zn 0.5255 0.7500 0.7755
Zn5 Zn 0.7500 0.2500 0.5000
Zn6 Zn 0.9745 0.7500 0.2245
S1 S 0.0188 0.4313 0.1462
S2 S 0.2149 0.0687 0.5875
S3 S 0.2851 0.8726 0.8538
S4 S 0.4812 0.6274 0.4125
S5 S 0.5188 0.3726 0.5875
S6 S 0.7149 0.1274 0.1462
S7 S 0.7851 0.9313 0.4125
S8 S 0.9812 0.5687 0.8538
```

Principal peaks in the range 5° ≤ 2θ ≤ 70°, sorted by position:
2θ 12.95, rel. 16
2θ 22.93, rel. 18
2θ 26.07, rel. 30
2θ 29.53, rel. 100
2θ 33.44, rel. 47
2θ 34.51, rel. 36
2θ 44.81, rel. 38
2θ 50.87, rel. 28
2θ 51.64, rel. 26
2θ 52.58, rel. 15